The following is a simulated PXRD pattern of Nd8GaRh2. It was derived from a structure optimized by DFT (GGA-PBE), using a wavelength of 1.5418 Å.

Largest 8 diffraction maxima, sorted by position, 5 to 70 degrees two-theta:
| 2θ (°) | I_rel |
| --- | --- |
| 30.6 | 99 |
| 31.0 | 62 |
| 31.8 | 54 |
| 32.2 | 73 |
| 33.8 | 100 |
| 35.8 | 35 |
| 36.5 | 43 |
| 52.8 | 41 |

Crystal structure
```
11
Lattice="4.342 -6.916 0.000 4.342 6.916 0.000 -1.795 0.000 5.455" Properties=species:S:1:pos:R:3 pbc="T T T"
Nd 0.827 1.701 3.050
Nd 4.342 3.665 0.000
Nd 0.827 -1.701 3.050
Nd 3.020 0.000 0.990
Nd 3.870 0.000 4.464
Nd 6.063 1.701 2.405
Nd 4.342 -3.665 0.000
Nd 6.063 -1.701 2.405
Ga 0.000 0.000 0.000
Rh 3.445 2.931 2.727
Rh 3.445 -2.931 2.727
```